Simulated X-ray diffraction stick pattern
Compound: NaCu2Te
Radiation: Cu Kα (weighted mean of Kα1 and Kα2)
Structure: a structure optimized by DFT (PBE)
No peak broadening, texture or thermal motion is included.

Principal peaks in the range 5 to 70 degrees two-theta, most intense first:
hkl 1 0 1, 2θ 19.1, I = 100; hkl 1 1 2, 2θ 28.0, I = 45; hkl 2 1 3, 2θ 44.7, I = 22; hkl 2 2 4, 2θ 57.9, I = 20; hkl 1 1 6, 2θ 39.7, I = 17; hkl 0 0 8, 2θ 39.3, I = 17; hkl 2 1 5, 2θ 49.2, I = 16; hkl 2 0 2, 2θ 38.8, I = 16; hkl 1 0 7, 2θ 39.2, I = 16; hkl 2 0 4, 2θ 42.5, I = 14

Structural model:
```
data_NaCu2Te
_space_group_name_H-M_alt 'I -4 2 d'
_space_group_IT_number 122
_space_group_name_Hall 'I -4 2bw'
_cell_length_a 4.802
_cell_length_b 4.802
_cell_length_c 18.328
_cell_angle_alpha 90.00
_cell_angle_beta 90.00
_cell_angle_gamma 90.00
loop_
_atom_site_label
_atom_site_type_symbol
_atom_site_fract_x
_atom_site_fract_y
_atom_site_fract_z
Na1 Na 0.000 0.000 0.000
Cu1 Cu 0.016 0.250 0.625
Te1 Te 0.000 0.000 0.500
```


Simulated X-ray diffraction stick pattern
Compound: Tm2Cu4Ni3
Radiation: Cu Kα (weighted mean of Kα1 and Kα2)
Structure: a structure optimized by DFT (PBE)
No peak broadening, texture or thermal motion is included.

Principal peaks in the range 5 to 70 degrees two-theta, most intense first:
hkl 1 3 3, 2θ 42.7, I = 100; hkl 1 3 1, 2θ 37.2, I = 37; hkl 1 1 5, 2θ 42.0, I = 34; hkl 2 0 0, 2θ 37.1, I = 31; hkl 2 0 4, 2θ 47.4, I = 28; hkl 0 2 4, 2θ 35.5, I = 26; hkl 1 1 3, 2θ 30.1, I = 25; hkl 2 2 0, 2θ 42.8, I = 21; hkl 0 0 6, 2θ 43.4, I = 19; hkl 0 6 0, 2θ 65.4, I = 15

Structural model:
```
data_Tm2Cu4Ni3
_space_group_name_H-M_alt 'F m m m'
_space_group_IT_number 69
_space_group_name_Hall '-F 2 2'
_cell_length_a 4.853
_cell_length_b 8.564
_cell_length_c 12.514
_cell_angle_alpha 90.00
_cell_angle_beta 90.00
_cell_angle_gamma 90.00
loop_
_atom_site_label
_atom_site_type_symbol
_atom_site_fract_x
_atom_site_fract_y
_atom_site_fract_z
Tm1 Tm 0.000 0.000 0.130
Cu1 Cu 0.000 0.167 0.331
Ni1 Ni 0.000 0.000 0.500
Ni2 Ni 0.250 0.250 0.000
```


Simulated X-ray diffraction stick pattern
Compound: Zr3Tl4CoS8
Radiation: Cu Kα (weighted mean of Kα1 and Kα2)
Structure: a structure optimized by DFT (PBE)
No peak broadening, texture or thermal motion is included.

Principal peaks in the range 5 to 70 degrees two-theta, most intense first:
hkl 4 0 0, 2θ 32.0, I = 100; hkl 0 0 2, 2θ 22.3, I = 40; hkl 2 2 0, 2θ 29.2, I = 35; hkl 2 2 2, 2θ 41.6, I = 27; hkl 0 0 1, 2θ 11.1, I = 20; hkl 6 2 -2, 2θ 49.8, I = 20; hkl 4 0 -2, 2θ 29.1, I = 18; hkl 2 2 -1, 2θ 28.4, I = 17; hkl 0 4 2, 2θ 55.4, I = 14; hkl 2 2 -4, 2θ 47.6, I = 14

Structural model:
```
data_Zr3Tl4CoS8
_space_group_name_H-M_alt 'C 1 2/m 1'
_space_group_IT_number 12
_cell_length_a 12.686
_cell_length_b 7.303
_cell_length_c 9.038
_cell_angle_alpha 90.00
_cell_angle_beta 118.19
_cell_angle_gamma 90.00
loop_
_space_group_symop_operation_xyz
'x,y,z'
'-x,-y,-z'
'-x,y,-z'
'x,-y,z'
'x+1/2,y+1/2,z'
'-x+1/2,-y+1/2,-z'
'-x+1/2,y+1/2,-z'
'x+1/2,-y+1/2,z'
loop_
_atom_site_label
_atom_site_type_symbol
_atom_site_fract_x
_atom_site_fract_y
_atom_site_fract_z
Zr1 Zr 0.000 0.000 0.000
Zr2 Zr 0.250 0.250 0.000
Tl1 Tl 0.000 0.000 0.500
Tl2 Tl 0.000 0.500 0.500
Tl3 Tl 0.250 0.250 0.500
Co1 Co 0.000 0.500 0.000
S1 S 0.020 0.258 0.819
S2 S 0.222 0.500 0.181
S3 S 0.230 0.000 0.190
```


Simulated X-ray diffraction stick pattern
Compound: HoTmNp2Se4
Radiation: Cu Kα (weighted mean of Kα1 and Kα2)
Structure: a structure optimized by DFT (PBE)
No peak broadening, texture or thermal motion is included.

Principal peaks in the range 5 to 70 degrees two-theta, most intense first:
hkl 1 1 1, 2θ 31.1, I = 100; hkl 1 1 -3, 2θ 44.3, I = 25; hkl 0 2 0, 2θ 44.6, I = 25; hkl 3 1 -1, 2θ 44.7, I = 25; hkl 1 1 -1, 2θ 26.8, I = 17; hkl 2 2 -2, 2θ 55.3, I = 13; hkl 0 0 2, 2θ 26.7, I = 9; hkl 2 0 0, 2θ 27.0, I = 9; hkl 2 2 2, 2θ 64.8, I = 8; hkl 4 0 -2, 2θ 52.9, I = 7

Structural model:
```
data_HoTmNp2Se4
_space_group_name_H-M_alt 'P 1 2/m 1'
_space_group_IT_number 10
_cell_length_a 7.013
_cell_length_b 4.064
_cell_length_c 7.093
_cell_angle_alpha 90.00
_cell_angle_beta 109.51
_cell_angle_gamma 90.00
loop_
_space_group_symop_operation_xyz
'x,y,z'
'-x,-y,-z'
'-x,y,-z'
'x,-y,z'
loop_
_atom_site_label
_atom_site_type_symbol
_atom_site_fract_x
_atom_site_fract_y
_atom_site_fract_z
Ho1 Ho 0.000 0.000 0.000
Tm1 Tm 0.000 0.500 0.500
Np1 Np 0.500 0.000 0.500
Np2 Np 0.500 0.500 0.000
Se1 Se 0.242 0.000 0.747
Se2 Se 0.244 0.500 0.250
```


Simulated X-ray diffraction stick pattern
Compound: Na5B7C3
Radiation: Cu Kα (weighted mean of Kα1 and Kα2)
Structure: a structure optimized by DFT (PBE)
No peak broadening, texture or thermal motion is included.

Principal peaks in the range 5 to 70 degrees two-theta, most intense first:
hkl 2 1 3, 2θ 41.7, I = 100; hkl 0 0 4, 2θ 42.2, I = 25; hkl 1 3 1, 2θ 35.7, I = 19; hkl 3 4 2, 2θ 64.2, I = 11; hkl 1 3 5, 2θ 56.4, I = 10; hkl 0 5 1, 2θ 64.1, I = 6; hkl 3 4 4, 2θ 68.3, I = 1; hkl 0 0 2, 2θ 20.7, I = 1; hkl 0 5 -1, 2θ 68.1, I = 1

Structural model:
```
data_Na5B7C3
_space_group_name_H-M_alt 'P 1'
_space_group_IT_number 1
_cell_length_a 5.022
_cell_length_b 7.688
_cell_length_c 9.049
_cell_angle_alpha 75.97
_cell_angle_beta 73.90
_cell_angle_gamma 70.95
loop_
_space_group_symop_operation_xyz
'x,y,z'
loop_
_atom_site_label
_atom_site_type_symbol
_atom_site_fract_x
_atom_site_fract_y
_atom_site_fract_z
Na1 Na 0.000 0.000 0.000
Na2 Na 0.000 0.499 0.502
Na3 Na 0.199 0.100 0.501
Na4 Na 0.201 0.600 0.997
Na5 Na 0.399 0.698 0.503
Na6 Na 0.400 0.198 0.001
Na7 Na 0.600 0.297 0.503
Na8 Na 0.602 0.798 0.001
Na9 Na 0.801 0.399 0.000
Na10 Na 0.801 0.899 0.502
B1 B 0.018 0.351 0.251
B2 B 0.021 0.850 0.751
B3 B 0.160 0.760 0.251
B4 B 0.223 0.447 0.751
B5 B 0.363 0.851 0.750
B6 B 0.403 0.334 0.251
B7 B 0.420 0.547 0.251
B8 B 0.439 0.058 0.752
B9 B 0.564 0.949 0.251
B10 B 0.565 0.447 0.751
B11 B 0.654 0.649 0.750
B12 B 0.789 0.564 0.250
B13 B 0.848 0.239 0.752
B14 B 0.970 0.138 0.251
C1 C 0.166 0.249 0.752
C2 C 0.228 0.949 0.251
C3 C 0.633 0.139 0.251
C4 C 0.766 0.049 0.752
C5 C 0.823 0.759 0.250
C6 C 0.964 0.649 0.750
```


Simulated X-ray diffraction stick pattern
Compound: CdInPb2
Radiation: Cu Kα (weighted mean of Kα1 and Kα2)
Structure: a structure optimized by DFT (PBE)
No peak broadening, texture or thermal motion is included.

Principal peaks in the range 5 to 70 degrees two-theta, most intense first:
hkl 0 1 2, 2θ 32.1, I = 100; hkl 1 1 0, 2θ 31.9, I = 95; hkl 0 2 0, 2θ 35.3, I = 40; hkl 1 0 -2, 2θ 35.6, I = 36; hkl 0 3 2, 2θ 61.5, I = 27; hkl 1 2 -2, 2θ 51.0, I = 26; hkl 1 0 2, 2θ 40.4, I = 24; hkl 1 3 0, 2θ 61.3, I = 22; hkl 1 2 2, 2θ 54.7, I = 19; hkl 0 1 1, 2θ 22.0, I = 14

Structural model:
```
data_CdInPb2
_space_group_name_H-M_alt 'P 1 m 1'
_space_group_IT_number 6
_cell_length_a 3.386
_cell_length_b 5.079
_cell_length_c 6.711
_cell_angle_alpha 90.00
_cell_angle_beta 96.98
_cell_angle_gamma 90.00
loop_
_space_group_symop_operation_xyz
'x,y,z'
'x,-y,z'
loop_
_atom_site_label
_atom_site_type_symbol
_atom_site_fract_x
_atom_site_fract_y
_atom_site_fract_z
Cd1 Cd 0.000 0.000 0.000
In1 In 0.345 0.500 0.250
Pb1 Pb 0.449 0.500 0.772
Pb2 Pb 0.909 0.000 0.489
```


Simulated X-ray diffraction stick pattern
Compound: BaNp3O9
Radiation: Cu Kα (weighted mean of Kα1 and Kα2)
Structure: a structure optimized by DFT (PBE)
No peak broadening, texture or thermal motion is included.

Principal peaks in the range 5 to 70 degrees two-theta, most intense first:
hkl 2 0 0, 2θ 25.9, I = 100; hkl 1 0 1, 2θ 25.0, I = 39; hkl 2 0 1, 2θ 33.8, I = 32; hkl 2 0 2, 2θ 51.2, I = 32; hkl 0 0 1, 2θ 21.3, I = 29; hkl 2 2 0, 2θ 45.6, I = 29; hkl 1 1 1, 2θ 31.1, I = 25; hkl 2 2 2, 2θ 64.8, I = 19; hkl 2 2 1, 2θ 50.9, I = 16; hkl 2 1 1, 2θ 40.9, I = 15

Structural model:
```
data_BaNp3O9
_space_group_name_H-M_alt 'P 6/m m m'
_space_group_IT_number 191
_space_group_name_Hall '-P 6 2'
_cell_length_a 7.9595
_cell_length_b 7.9595
_cell_length_c 4.1661
_cell_angle_alpha 90.00
_cell_angle_beta 90.00
_cell_angle_gamma 120.00
loop_
_atom_site_label
_atom_site_type_symbol
_atom_site_fract_x
_atom_site_fract_y
_atom_site_fract_z
Ba1 Ba 0.0000 0.0000 0.0000
Np1 Np 0.0000 0.5000 0.5000
O1 O 0.0000 0.5000 0.0000
O2 O 0.1983 0.3966 0.5000
```


Simulated X-ray diffraction stick pattern
Compound: ZrGa2Co
Radiation: Cu Kα (weighted mean of Kα1 and Kα2)
Structure: a structure optimized by DFT (PBE)
No peak broadening, texture or thermal motion is included.

Principal peaks in the range 5 to 70 degrees two-theta, most intense first:
hkl 5 0 1, 2θ 38.1, I = 100; hkl 3 3 2, 2θ 38.0, I = 87; hkl 4 0 2, 2θ 36.5, I = 66; hkl 3 2 3, 2θ 42.5, I = 55; hkl 6 0 0, 2θ 44.0, I = 47; hkl 3 0 3, 2θ 39.7, I = 39; hkl 1 1 4, 2θ 45.7, I = 32; hkl 4 1 3, 2θ 45.0, I = 32; hkl 4 2 2, 2θ 39.4, I = 26; hkl 4 4 0, 2θ 41.4, I = 26

Structural model:
```
data_ZrGa2Co
_space_group_name_H-M_alt 'I 4 m m'
_space_group_IT_number 107
_space_group_name_Hall 'I 4 -2'
_cell_length_a 12.338
_cell_length_b 12.338
_cell_length_c 8.160
_cell_angle_alpha 90.00
_cell_angle_beta 90.00
_cell_angle_gamma 90.00
loop_
_atom_site_label
_atom_site_type_symbol
_atom_site_fract_x
_atom_site_fract_y
_atom_site_fract_z
Zr1 Zr 0.000 0.000 0.000
Zr2 Zr 0.000 0.000 0.463
Zr3 Zr 0.000 0.281 0.392
Zr4 Zr 0.201 0.201 0.880
Ga1 Ga 0.000 0.163 0.718
Ga2 Ga 0.000 0.384 0.869
Ga3 Ga 0.132 0.132 0.225
Ga4 Ga 0.140 0.352 0.129
Co1 Co 0.000 0.217 0.031
Co2 Co 0.000 0.500 0.121
Co3 Co 0.162 0.162 0.536
```


Simulated X-ray diffraction stick pattern
Compound: BaGeAs2
Radiation: Cu Kα (weighted mean of Kα1 and Kα2)
Structure: a structure optimized by DFT (PBE)
No peak broadening, texture or thermal motion is included.

Principal peaks in the range 5 to 70 degrees two-theta, most intense first:
hkl 2 2 3, 2θ 30.6, I = 100; hkl 2 2 -4, 2θ 30.7, I = 89; hkl 4 4 -1, 2θ 45.8, I = 64; hkl 2 2 0, 2θ 22.6, I = 55; hkl 4 0 0, 2θ 32.5, I = 43; hkl 2 2 -2, 2θ 24.1, I = 37; hkl 2 2 -3, 2θ 27.0, I = 33; hkl 3 1 -4, 2θ 31.8, I = 31; hkl 2 2 2, 2θ 26.8, I = 27; hkl 2 6 -4, 2θ 56.1, I = 25

Structural model:
```
data_BaGeAs2
_space_group_name_H-M_alt 'C 1 2/c 1'
_space_group_IT_number 15
_cell_length_a 11.220
_cell_length_b 11.201
_cell_length_c 15.340
_cell_angle_alpha 90.00
_cell_angle_beta 100.17
_cell_angle_gamma 90.00
loop_
_space_group_symop_operation_xyz
'x,y,z'
'-x,-y,-z'
'-x,y,-z+1/2'
'x,-y,z+1/2'
'x+1/2,y+1/2,z'
'-x+1/2,-y+1/2,-z'
'-x+1/2,y+1/2,-z+1/2'
'x+1/2,-y+1/2,z+1/2'
loop_
_atom_site_label
_atom_site_type_symbol
_atom_site_fract_x
_atom_site_fract_y
_atom_site_fract_z
Ba1 Ba 0.024 0.175 0.399
Ba2 Ba 0.208 0.449 0.118
Ge1 Ge 0.104 0.188 0.662
Ge2 Ge 0.144 0.438 0.833
As1 As 0.000 0.054 0.750
As2 As 0.000 0.414 0.250
As3 As 0.027 0.334 0.934
As4 As 0.193 0.045 0.566
As5 As 0.234 0.193 0.249
```


Simulated X-ray diffraction stick pattern
Compound: SrCa2S
Radiation: Cu Kα (weighted mean of Kα1 and Kα2)
Structure: a structure optimized by DFT (PBE)
No peak broadening, texture or thermal motion is included.

Principal peaks in the range 5 to 70 degrees two-theta, most intense first:
hkl 0 1 8, 2θ 34.6, I = 100; hkl 0 1 2, 2θ 26.6, I = 98; hkl 1 0 1, 2θ 26.2, I = 79; hkl 1 0 10, 2θ 38.7, I = 60; hkl 1 1 0, 2θ 45.9, I = 49; hkl 0 0 6, 2θ 16.8, I = 42; hkl 0 0 9, 2θ 25.2, I = 39; hkl 1 1 9, 2θ 53.1, I = 29; hkl 2 0 8, 2θ 58.7, I = 20; hkl 1 0 7, 2θ 32.8, I = 20

Structural model:
```
data_SrCa2S
_space_group_name_H-M_alt 'R -3 m'
_space_group_IT_number 166
_space_group_name_Hall '-R 3 2"'
_cell_length_a 3.9571
_cell_length_b 3.9571
_cell_length_c 31.7468
_cell_angle_alpha 90.00
_cell_angle_beta 90.00
_cell_angle_gamma 120.00
loop_
_atom_site_label
_atom_site_type_symbol
_atom_site_fract_x
_atom_site_fract_y
_atom_site_fract_z
Sr1 Sr 0.0000 0.0000 0.0000
Ca1 Ca 0.0000 0.0000 0.1138
S1 S 0.0000 0.0000 0.5000
```


Simulated X-ray diffraction stick pattern
Compound: K2NaCd10
Radiation: Cu Kα (weighted mean of Kα1 and Kα2)
Structure: a structure optimized by DFT (PBE)
No peak broadening, texture or thermal motion is included.

Principal peaks in the range 5 to 70 degrees two-theta, most intense first:
hkl 0 0 1, 2θ 12.4, I = 100; hkl 2 1 1, 2θ 32.6, I = 76; hkl 1 2 2, 2θ 30.4, I = 55; hkl 0 4 0, 2θ 17.2, I = 55; hkl 1 7 1, 2θ 36.3, I = 48; hkl 2 1 2, 2θ 39.4, I = 48; hkl 1 2 0, 2θ 17.1, I = 36; hkl 1 7 0, 2θ 34.0, I = 31; hkl 0 0 3, 2θ 37.8, I = 30; hkl 1 7 2, 2θ 42.6, I = 26

Structural model:
```
data_K2NaCd10
_space_group_name_H-M_alt 'P b a m'
_space_group_IT_number 55
_cell_length_a 6.008
_cell_length_b 20.567
_cell_length_c 7.133
_cell_angle_alpha 90.00
_cell_angle_beta 90.00
_cell_angle_gamma 90.00
loop_
_space_group_symop_operation_xyz
'x,y,z'
'-x,-y,-z'
'-x,-y,z'
'x,y,-z'
'x+1/2,-y+1/2,-z'
'-x+1/2,y+1/2,z'
'-x+1/2,y+1/2,-z'
'x+1/2,-y+1/2,z'
loop_
_atom_site_label
_atom_site_type_symbol
_atom_site_fract_x
_atom_site_fract_y
_atom_site_fract_z
K1 K 0.196 0.180 0.000
Na1 Na 0.000 0.500 0.500
Cd1 Cd 0.007 0.068 0.500
Cd2 Cd 0.105 0.791 0.500
Cd3 Cd 0.109 0.653 0.500
Cd4 Cd 0.198 0.388 0.199
```


Q: Number 9 is which compound?
A: BaGeAs2